[1]
Theoretical powder diffraction line list
Compound: Ac2LaPmBi5
Radiation: λ = 1.5418 Å (Cu Kα)
Structure: the GGA-PBE geometry in Alexandria
Intensities are scaled so that the largest is 100.

Largest 8 diffraction maxima, by angle, 10° ≤ 2θ ≤ 80°:
| Position (°2θ) | I (rel.) |
| --- | --- |
| 22.52 | 67.6 |
| 23.65 | 38.9 |
| 26.80 | 77.7 |
| 28.84 | 57.2 |
| 31.35 | 47.1 |
| 32.06 | 100.0 |
| 43.66 | 76.1 |
| 55.18 | 38.7 |

Crystal structure
Cell lengths 5.584, 5.584, 12.383 Å; angles 90.00, 90.00, 90.00 degrees
Space group P4/mmm (No. 123)
Inequivalent atoms, fractional coordinates:
Ac (0.000, 0.000, 0.221) [2 per cell]
La (0.500, 0.500, 0.500) [1 per cell]
Pm (0.500, 0.500, 0.000) [1 per cell]
Bi (0.000, 0.000, 0.500) [1 per cell]
Bi (0.000, 0.500, 0.000) [2 per cell]
Bi (0.500, 0.500, 0.251) [2 per cell]

[2]
Theoretical powder diffraction line list
Compound: AcLa2PuBi4
Radiation: λ = 1.5418 Å (Cu Kα)
Structure: the GGA-PBE geometry in Alexandria
Intensities are scaled so that the largest is 100.

Largest 8 diffraction maxima, by angle, 10° ≤ 2θ ≤ 80°:
| Position (°2θ) | I (rel.) |
| --- | --- |
| 11.48 | 3.1 |
| 22.09 | 2.1 |
| 26.72 | 100.0 |
| 38.15 | 79.4 |
| 47.18 | 29.2 |
| 55.05 | 13.9 |
| 62.22 | 38.6 |
| 68.94 | 28.6 |

Crystal structure
Cell lengths 8.166, 4.720, 8.175 Å; angles 90.00, 109.46, 90.00 degrees
Space group P2/m (No. 10)
Inequivalent atoms, fractional coordinates:
Ac (0.000, 0.000, 0.000) [1 per cell]
La (0.000, 0.500, 0.500) [1 per cell]
La (0.500, 0.000, 0.500) [1 per cell]
Pu (0.500, 0.500, 0.000) [1 per cell]
Bi (0.260, 0.000, 0.753) [2 per cell]
Bi (0.260, 0.500, 0.254) [2 per cell]

[3]
Theoretical powder diffraction line list
Compound: Li6AcBi4
Radiation: λ = 1.5418 Å (Cu Kα)
Structure: the GGA-PBE geometry in Alexandria
Intensities are scaled so that the largest is 100.

Largest 8 diffraction maxima, by angle, 10° ≤ 2θ ≤ 80°:
| Position (°2θ) | I (rel.) |
| --- | --- |
| 22.94 | 82.2 |
| 25.07 | 95.3 |
| 29.09 | 100.0 |
| 31.76 | 62.6 |
| 42.90 | 51.1 |
| 44.16 | 41.0 |
| 46.86 | 37.2 |
| 60.31 | 33.3 |

Crystal structure
Cell lengths 8.2040, 8.2040, 4.6273 Å; angles 90.00, 90.00, 120.00 degrees
Space group P-6m2 (No. 187)
Inequivalent atoms, fractional coordinates:
Li (0.1998, 0.3997, 0.0000) [3 per cell]
Li (0.2371, 0.1186, 0.5000) [3 per cell]
Ac (0.6667, 0.3333, 0.0000) [1 per cell]
Bi (0.0000, 0.0000, 0.0000) [1 per cell]
Bi (0.0392, 0.5196, 0.5000) [3 per cell]

[4]
Theoretical powder diffraction line list
Compound: Li3AcBi4O12
Radiation: λ = 1.5418 Å (Cu Kα)
Structure: the GGA-PBE geometry in Alexandria
Intensities are scaled so that the largest is 100.

Largest 8 diffraction maxima, by angle, 10° ≤ 2θ ≤ 80°:
| Position (°2θ) | I (rel.) |
| --- | --- |
| 15.24 | 25.1 |
| 21.62 | 44.7 |
| 30.76 | 100.0 |
| 44.05 | 24.1 |
| 49.58 | 21.8 |
| 54.68 | 49.6 |
| 64.06 | 14.3 |
| 72.73 | 19.6 |

Crystal structure
Cell lengths 8.223, 8.223, 8.223 Å; angles 90.00, 90.00, 90.00 degrees
Space group Im-3 (No. 204)
Inequivalent atoms, fractional coordinates:
Li (0.000, 0.000, 0.500) [6 per cell]
Ac (0.000, 0.000, 0.000) [2 per cell]
Bi (0.250, 0.250, 0.250) [8 per cell]
O (0.000, 0.297, 0.169) [24 per cell]

Q: Which formula does entry 1 have?
A: Ac2LaPmBi5